[1]
Simulated powder diffractogram of Ho2Tm2InCo2Ge4 for Cu Kα, from a crystal structure in OQMD, relaxed with PBE.
Lines closer than 0.1° are merged.

```
11
Lattice="7.6797 -2.1070 0.0000 7.6797 2.1070 0.0000 -2.1493 0.0000 6.6124" Properties=species:S:1:pos:R:3 pbc="T T T"
Ho 0.5480 0.0000 2.5645
Ho 12.6621 0.0000 4.0479
Tm 0.3603 0.0000 6.2200
Tm 12.8498 0.0000 0.3924
In 7.6797 0.0000 0.0000
Co 3.4937 0.0000 2.4412
Co 9.7165 0.0000 4.1712
Ge 2.9501 0.0000 4.8382
Ge 5.8953 0.0000 2.2412
Ge 7.3148 0.0000 4.3712
Ge 10.2600 0.0000 1.7742
```

Most intense lines, 2θ = 10–80°, low angle first:
2θ/deg, I/Imax
28.00, 28.1
33.60, 82.5
34.93, 100.0
35.12, 35.8
36.42, 32.7
36.53, 52.4
37.46, 31.0
40.95, 22.3
42.92, 53.2
58.46, 24.7

=====

[2]
Simulated powder diffractogram of K3RbBi2Au2 for Cu Kα, from a crystal structure in OQMD, relaxed with PBE.
Lines closer than 0.1° are merged.

```
8
Lattice="6.7464 0.0000 0.0000 0.0000 6.8725 0.0000 -2.0426 0.0000 6.5148" Properties=species:S:1:pos:R:3 pbc="T T T"
K 0.0000 0.0000 0.0000
K 0.0387 3.4362 6.4408
K 3.7307 0.0000 2.2202
Rb 3.0622 3.4362 4.2149
Bi 1.2853 0.0000 5.0080
Bi 5.5156 3.4362 1.4158
Au -0.0065 1.7081 3.2234
Au -0.0065 5.1643 3.2234
```

Most intense lines, 2θ = 10–80°, low angle first:
2θ/deg, I/Imax
13.59, 31.6
16.20, 100.0
18.77, 26.8
18.89, 34.6
29.43, 52.9
29.77, 36.3
30.00, 35.7
34.35, 75.2
38.06, 30.5
48.37, 26.7